(1)
# La4Nd2Er
Calculated powder X-ray diffraction pattern, Cu Ka. Input: a crystal structure in Alexandria, relaxed with PBE.
Kinematic intensities with the Lorentz-polarization factor, no thermal factor.

Structural model:
Cell lengths 6.3877, 8.2242, 9.7737 Å; angles 89.94, 89.79, 75.25 degrees
Fractional positions:
La  0.0000  0.0000  0.0000
La  0.0015  0.5012  0.5022
La  0.2896  0.1397  0.2888
La  0.4303  0.2146  0.9304
La  0.5716  0.7827  0.0726
La  0.5740  0.2868  0.5742
La  0.7147  0.8527  0.7147
La  0.8586  0.9246  0.3594
Nd  0.1443  0.5692  0.1439
Nd  0.1449  0.0700  0.6447
Nd  0.2880  0.6393  0.7859
Nd  0.7159  0.3584  0.2154
Er  0.4284  0.7118  0.4292
Er  0.8602  0.4279  0.8596

Principal peaks in the range 5 to 70 degrees two-theta, in order of falling intensity:
- 2θ = 29.6°, I = 100.0
- 2θ = 34.4°, I = 44.8
- 2θ = 29.7°, I = 33.0
- 2θ = 49.4°, I = 24.2
- 2θ = 58.7°, I = 24.0
- 2θ = 34.3°, I = 22.7
- 2θ = 49.3°, I = 16.2
- 2θ = 58.6°, I = 14.5
- 2θ = 58.8°, I = 14.3
- 2θ = 61.5°, I = 12.5

(2)
# K2CuCl4O2
Calculated powder X-ray diffraction pattern, Cu Ka. Input: a crystal structure in Alexandria, relaxed with PBE.
Kinematic intensities with the Lorentz-polarization factor, no thermal factor.

Structural model:
Cell lengths 6.7377, 6.7377, 6.7377 Å; angles 111.26, 111.26, 105.96 degrees
Fractional positions:
K  0.2500  0.7500  0.5000
K  0.7500  0.2500  0.5000
Cu  0.0000  0.0000  0.0000
Cl  0.2118  0.2118  0.4235
Cl  0.2118  0.7882  0.0000
Cl  0.7882  0.2118  0.0000
Cl  0.7882  0.7882  0.5765
O  0.4241  0.4241  0.0000
O  0.5759  0.5759  0.0000

Principal peaks in the range 5 to 70 degrees two-theta, in order of falling intensity:
- 2θ = 27.5°, I = 100.0
- 2θ = 33.3°, I = 81.4
- 2θ = 16.0°, I = 60.3
- 2θ = 43.7°, I = 35.2
- 2θ = 21.9°, I = 33.6
- 2θ = 32.3°, I = 29.1
- 2θ = 44.4°, I = 23.9
- 2θ = 56.9°, I = 21.4
- 2θ = 47.8°, I = 20.8
- 2θ = 56.1°, I = 18.7